(1)
Starting from a cell relaxed with PBE+U, the powder diffractogram of LiNiP3O9 was computed for Cu Kα X-rays.
Kinematic intensities with the Lorentz-polarization factor, no thermal factor.

The 10 most intense peaks (2θ = 15–90°), low angle first:
index  d_spacing  Position (°2θ)  Rel. int.
1 1 1  4.594  19.32  60
1 0 -1  4.426  20.06  23
1 -1 1  4.004  22.20  69
0 2 0  3.522  25.29  47
0 2 1  3.264  27.32  44
1 2 1  3.154  28.29  100
0 1 -2  3.046  29.32  68
2 0 -1  2.800  31.96  77
-1 1 2  2.706  33.11  23
2 0 2  2.685  33.37  41

Structure:
Cell: 6.7930 7.1064 7.2310 Å, 83.81 78.40 83.60°
Space group P-1 (No. 2)
Symmetry-distinct sites (fractional):
Li 0.0858 0.2758 0.1291 x2
Ni 0.4386 0.8377 0.8523 x2
P 0.1435 0.7064 0.2212 x2
P 0.2362 0.1501 0.5467 x2
P 0.4244 0.3796 0.7792 x2
O 0.0025 0.7898 0.4086 x2
O 0.0551 0.5382 0.1763 x2
O 0.1885 0.8656 0.0666 x2
O 0.2811 0.9707 0.6652 x2
O 0.2891 0.1542 0.3336 x2
O 0.3319 0.3269 0.6071 x2
O 0.3405 0.6452 0.3139 x2
O 0.3617 0.5833 0.8109 x2
O 0.3773 0.2324 0.9481 x2

(2)
Starting from a cell relaxed with PBE+U, the powder diffractogram of Li9Mn2Co5O16 was computed for Cu Kα X-rays.
Kinematic intensities with the Lorentz-polarization factor, no thermal factor.

The 10 most intense peaks (2θ = 15–90°), low angle first:
index  d_spacing  Position (°2θ)  Rel. int.
2 0 -1  4.823  18.39  100
6 0 1  2.540  35.34  15
2 2 1  2.476  36.27  25
4 2 0  2.388  37.66  7
8 0 0  2.120  42.64  29
0 2 2  2.055  44.06  52
6 2 -1  1.912  47.55  9
2 2 -3  1.588  58.08  9
8 2 -2  1.478  62.87  15
8 2 2  1.473  63.11  15

Structure:
Cell: 16.9614 5.7810 5.8450 Å, 90.00 90.28 90.00°
Space group C2 (No. 5)
Symmetry-distinct sites (fractional):
Li 0.0000 0.0000 0.0000 x2
Li 0.0000 0.0022 0.5000 x2
Li 0.0000 0.5016 0.5000 x2
Li 0.1184 0.7535 0.7533 x4
Li 0.1235 0.2513 0.7535 x4
Li 0.2494 0.5022 0.9983 x4
Mn 0.1242 0.2550 0.2443 x4
Co 0.0000 0.5004 0.0000 x2
Co 0.1206 0.7571 0.2433 x4
Co 0.2490 0.0047 0.5012 x4
O 0.0047 0.7317 0.2313 x4
O 0.0115 0.2646 0.2343 x4
O 0.1250 0.0157 0.4855 x4
O 0.1271 0.0037 0.0249 x4
O 0.1284 0.4904 0.0142 x4
O 0.1284 0.5018 0.4768 x4
O 0.2410 0.2526 0.2564 x4
O 0.2485 0.7545 0.2769 x4

(3)
Starting from a cell relaxed with PBE+U, the powder diffractogram of NdCoO3 was computed for Cu Kα X-rays.
Kinematic intensities with the Lorentz-polarization factor, no thermal factor.

The 10 most intense peaks (2θ = 15–90°), low angle first:
index  d_spacing  Position (°2θ)  Rel. int.
1 0 1  3.875  22.95  14
2 0 0  2.771  32.30  22
1 2 1  2.733  32.76  100
0 0 2  2.709  33.07  24
0 2 2  2.217  40.70  11
2 0 2  1.937  46.90  25
0 4 0  1.928  47.13  15
3 2 1  1.593  57.90  12
0 4 2  1.569  58.84  32
2 4 2  1.367  68.68  13

Structure:
Cell: 5.5426 7.7133 5.4182 Å, 90.00 90.00 90.00°
Space group Pnma (No. 62)
Symmetry-distinct sites (fractional):
Nd 0.0454 0.2500 0.0117 x4
Co 0.0000 0.0000 0.5000 x4
O 0.0173 0.7500 0.4218 x4
O 0.2112 0.5426 0.7868 x8

(4)
Starting from a cell relaxed with PBE+U, the powder diffractogram of Li2VAsCO7 was computed for Cu Kα X-rays.
Kinematic intensities with the Lorentz-polarization factor, no thermal factor.

The 10 most intense peaks (2θ = 15–90°), low angle first:
index  d_spacing  Position (°2θ)  Rel. int.
1 0 -1  4.543  19.54  51
1 0 1  4.284  20.74  39
1 1 -1  3.742  23.78  21
1 1 1  3.593  24.78  71
1 0 -2  3.441  25.90  63
0 2 0  3.299  27.03  100
0 2 1  3.087  28.92  22
1 2 -1  2.670  33.56  27
2 0 0  2.550  35.20  27
1 1 3  2.307  39.05  24

Structure:
Cell: 5.1111 6.5978 8.7849 Å, 90.00 93.87 90.00°
Space group P2_1/m (No. 11)
Symmetry-distinct sites (fractional):
Li 0.2160 0.0068 0.2944 x4
V 0.2033 0.7500 0.8351 x2
As 0.2823 0.2500 0.9180 x2
C 0.2687 0.7500 0.5559 x2
O 0.0346 0.7500 0.6098 x2
O 0.1643 0.2500 0.0980 x2
O 0.1685 0.0472 0.8108 x4
O 0.3047 0.7500 0.4148 x2
O 0.3820 0.7500 0.0566 x2
O 0.4656 0.7500 0.6631 x2

(5)
Starting from a cell relaxed with PBE+U, the powder diffractogram of Li3CrCu4O8 was computed for Cu Kα X-rays.
Kinematic intensities with the Lorentz-polarization factor, no thermal factor.

The 10 most intense peaks (2θ = 15–90°), low angle first:
index  d_spacing  Position (°2θ)  Rel. int.
2 0 -1  4.757  18.65  92
2 0 1  2.826  31.66  22
0 0 2  2.460  36.53  21
0 2 1  2.452  36.64  28
2 2 0  2.437  36.88  48
4 0 0  2.400  37.48  75
4 0 -2  2.379  37.82  27
2 2 -2  1.990  45.59  100
2 2 2  1.553  59.53  38
6 2 -2  1.512  61.33  26

Structure:
Cell: 10.9323 5.6585 5.6031 Å, 90.00 118.59 90.00°
Space group C2/m (No. 12)
Symmetry-distinct sites (fractional):
Li 0.0000 0.0000 0.0000 x2
Li 0.2500 0.2500 0.5000 x4
Cr 0.0000 0.5000 0.5000 x2
Cu 0.0000 0.0000 0.5000 x2
Cu 0.0000 0.5000 0.0000 x2
Cu 0.2500 0.2500 0.0000 x4
O 0.0321 0.2640 0.2694 x8
O 0.2006 0.0000 0.7394 x4
O 0.2116 0.5000 0.7466 x4

(6)
Starting from a cell relaxed with PBE+U, the powder diffractogram of LiFeBO4 was computed for Cu Kα X-rays.
Kinematic intensities with the Lorentz-polarization factor, no thermal factor.

The 10 most intense peaks (2θ = 15–90°), low angle first:
index  d_spacing  Position (°2θ)  Rel. int.
2 0 0  5.027  17.64  100
1 0 1  3.967  22.41  43
3 0 1  2.647  33.86  29
1 2 1  2.362  38.10  37
2 2 1  2.188  41.26  16
3 2 1  1.967  46.14  20
2 2 2  1.644  55.91  21
4 0 2  1.638  56.16  11
6 2 0  1.456  63.95  11
4 2 2  1.431  65.21  9

Structure:
Cell: 10.0542 5.8805 4.3177 Å, 90.00 90.00 90.00°
Space group Pnma (No. 62)
Symmetry-distinct sites (fractional):
Li 0.2243 0.2500 0.0232 x4
Fe 0.0000 0.0000 0.5000 x4
B 0.0823 0.7500 0.0911 x4
O 0.0580 0.2500 0.7522 x4
O 0.0774 0.7500 0.7522 x4
O 0.1410 0.5423 0.2213 x8